# 1
Calculated X-ray powder pattern
Compound: Sm2Al3Ge4
Radiation: λ = 1.5418 Å (Cu Kα)
Structure: the GGA-PBE geometry in Alexandria
No peak broadening, texture or thermal motion is included.

Structural model:
```
data_Sm2Al3Ge4
_space_group_name_H-M_alt 'C m c e'
_space_group_IT_number 64
_space_group_name_Hall '-C 2ac 2'
_cell_length_a 6.053
_cell_length_b 14.911
_cell_length_c 7.992
_cell_angle_alpha 90.00
_cell_angle_beta 90.00
_cell_angle_gamma 90.00
loop_
_atom_site_label
_atom_site_type_symbol
_atom_site_fract_x
_atom_site_fract_y
_atom_site_fract_z
Sm1 Sm 0.000 0.115 0.081
Al1 Al 0.000 0.000 0.500
Al2 Al 0.250 0.216 0.750
Ge1 Ge 0.000 0.186 0.447
Ge2 Ge 0.250 0.046 0.750
```

Largest 10 diffraction maxima, in order of rising 2θ, 10 to 80 degrees two-theta:
d 4.591, 19.33°, intensity 37; d 2.769, 32.33°, intensity 50; d 2.646, 33.88°, intensity 60; d 2.537, 35.38°, intensity 100; d 2.509, 35.79°, intensity 77; d 2.413, 37.27°, intensity 73; d 2.373, 37.91°, intensity 25; d 2.350, 38.31°, intensity 35; d 1.795, 50.86°, intensity 25; d 1.636, 56.23°, intensity 26



# 2
Calculated X-ray powder pattern
Compound: Cs6K7Rb16
Radiation: λ = 1.5418 Å (Cu Kα)
Structure: the GGA-PBE geometry in Alexandria
No peak broadening, texture or thermal motion is included.

Structural model:
```
data_Cs6K7Rb16
_space_group_name_H-M_alt 'F m -3 m'
_space_group_IT_number 225
_space_group_name_Hall '-F 4 2 3'
_cell_length_a 22.192
_cell_length_b 22.192
_cell_length_c 22.192
_cell_angle_alpha 90.00
_cell_angle_beta 90.00
_cell_angle_gamma 90.00
loop_
_atom_site_label
_atom_site_type_symbol
_atom_site_fract_x
_atom_site_fract_y
_atom_site_fract_z
Cs1 Cs 0.000 0.000 0.201
K1 K 0.000 0.000 0.500
K2 K 0.000 0.250 0.250
Rb1 Rb 0.118 0.118 0.382
Rb2 Rb 0.167 0.167 0.167
```

Largest 10 diffraction maxima, in order of rising 2θ, 10 to 80 degrees two-theta:
d 4.530, 19.60°, intensity 23; d 4.271, 20.80°, intensity 100; d 3.923, 22.67°, intensity 91; d 3.699, 24.06°, intensity 19; d 2.889, 30.95°, intensity 17; d 2.615, 34.29°, intensity 30; d 2.562, 35.02°, intensity 19; d 2.230, 40.44°, intensity 29; d 2.145, 42.12°, intensity 19; d 1.659, 55.39°, intensity 16



# 3
Calculated X-ray powder pattern
Compound: SrReBiO6
Radiation: λ = 1.5418 Å (Cu Kα)
Structure: the GGA-PBE geometry in Alexandria
No peak broadening, texture or thermal motion is included.

Structural model:
```
data_SrReBiO6
_space_group_name_H-M_alt 'P 3 1 2'
_space_group_IT_number 149
_space_group_name_Hall 'P 3 2'
_cell_length_a 5.6713
_cell_length_b 5.6713
_cell_length_c 5.1964
_cell_angle_alpha 90.00
_cell_angle_beta 90.00
_cell_angle_gamma 120.00
loop_
_atom_site_label
_atom_site_type_symbol
_atom_site_fract_x
_atom_site_fract_y
_atom_site_fract_z
Sr1 Sr 0.0000 0.0000 0.0000
Re1 Re 0.6667 0.3333 0.5000
Bi1 Bi 0.3333 0.6667 0.5000
O1 O 0.3915 0.0527 0.7096
```

Largest 10 diffraction maxima, in order of rising 2θ, 10 to 80 degrees two-theta:
d 5.196, 17.06°, intensity 52; d 4.912, 18.06°, intensity 18; d 3.569, 24.95°, intensity 100; d 2.836, 31.55°, intensity 63; d 2.489, 36.08°, intensity 43; d 2.220, 40.63°, intensity 27; d 1.916, 47.46°, intensity 58; d 1.748, 52.33°, intensity 27; d 1.637, 56.18°, intensity 19; d 1.385, 67.64°, intensity 15



# 4
Calculated X-ray powder pattern
Compound: Rb3AgSn4
Radiation: λ = 1.5418 Å (Cu Kα)
Structure: the GGA-PBE geometry in Alexandria
No peak broadening, texture or thermal motion is included.

Structural model:
```
data_Rb3AgSn4
_space_group_name_H-M_alt 'P m m n'
_space_group_IT_number 59
_cell_length_a 7.159
_cell_length_b 13.383
_cell_length_c 6.775
_cell_angle_alpha 90.00
_cell_angle_beta 90.00
_cell_angle_gamma 90.00
loop_
_space_group_symop_operation_xyz
'x,y,z'
'-x,-y,-z'
'-x+1/2,-y+1/2,z'
'x+1/2,y+1/2,-z'
'x+1/2,-y,-z'
'-x+1/2,y,z'
'-x,y+1/2,-z'
'x,-y+1/2,z'
loop_
_atom_site_label
_atom_site_type_symbol
_atom_site_fract_x
_atom_site_fract_y
_atom_site_fract_z
Rb1 Rb 0.250 0.006 0.172
Rb2 Rb 0.250 0.250 0.557
Ag1 Ag 0.250 0.750 0.312
Sn1 Sn 0.027 0.750 0.956
Sn2 Sn 0.250 0.633 0.669
```

Largest 10 diffraction maxima, in order of rising 2θ, 10 to 80 degrees two-theta:
d 6.691, 13.23°, intensity 85; d 6.312, 14.03°, intensity 100; d 3.579, 24.88°, intensity 35; d 3.163, 28.21°, intensity 59; d 2.861, 31.26°, intensity 99; d 2.767, 32.36°, intensity 85; d 2.698, 33.21°, intensity 30; d 2.581, 34.76°, intensity 45; d 2.460, 36.52°, intensity 33; d 1.867, 48.76°, intensity 32



# 5
Calculated X-ray powder pattern
Compound: Ac3Ag6Sn5
Radiation: λ = 1.5418 Å (Cu Kα)
Structure: the GGA-PBE geometry in Alexandria
No peak broadening, texture or thermal motion is included.

Structural model:
```
data_Ac3Ag6Sn5
_space_group_name_H-M_alt 'P m m n'
_space_group_IT_number 59
_cell_length_a 4.818
_cell_length_b 14.245
_cell_length_c 10.480
_cell_angle_alpha 90.00
_cell_angle_beta 90.00
_cell_angle_gamma 90.00
loop_
_space_group_symop_operation_xyz
'x,y,z'
'-x,-y,-z'
'-x+1/2,-y+1/2,z'
'x+1/2,y+1/2,-z'
'x+1/2,-y,-z'
'-x+1/2,y,z'
'-x,y+1/2,-z'
'x,-y+1/2,z'
loop_
_atom_site_label
_atom_site_type_symbol
_atom_site_fract_x
_atom_site_fract_y
_atom_site_fract_z
Ac1 Ac 0.250 0.063 0.245
Ac2 Ac 0.250 0.750 0.242
Ag1 Ag 0.250 0.080 0.607
Ag2 Ag 0.250 0.250 0.039
Ag3 Ag 0.250 0.250 0.464
Ag4 Ag 0.250 0.596 0.983
Sn1 Sn 0.250 0.092 0.873
Sn2 Sn 0.250 0.620 0.527
Sn3 Sn 0.250 0.750 0.791
```

Largest 10 diffraction maxima, in order of rising 2θ, 10 to 80 degrees two-theta:
d 3.382, 26.35°, intensity 16; d 2.842, 31.48°, intensity 100; d 2.828, 31.64°, intensity 29; d 2.814, 31.80°, intensity 23; d 2.629, 34.11°, intensity 14; d 2.409, 37.33°, intensity 37; d 2.374, 37.90°, intensity 23; d 1.830, 49.83°, intensity 13; d 1.691, 54.24°, intensity 20; d 1.461, 63.71°, intensity 18



# 6
Calculated X-ray powder pattern
Compound: PrEr2Cu6
Radiation: λ = 1.5418 Å (Cu Kα)
Structure: the GGA-PBE geometry in Alexandria
No peak broadening, texture or thermal motion is included.

Structural model:
```
data_PrEr2Cu6
_space_group_name_H-M_alt 'P 6/m m m'
_space_group_IT_number 191
_space_group_name_Hall '-P 6 2'
_cell_length_a 7.3420
_cell_length_b 7.3420
_cell_length_c 3.6201
_cell_angle_alpha 90.00
_cell_angle_beta 90.00
_cell_angle_gamma 120.00
loop_
_atom_site_label
_atom_site_type_symbol
_atom_site_fract_x
_atom_site_fract_y
_atom_site_fract_z
Pr1 Pr 0.0000 0.0000 0.0000
Er1 Er 0.3333 0.6667 0.0000
Cu1 Cu 0.0000 0.3367 0.5000
```

Largest 10 diffraction maxima, in order of rising 2θ, 10 to 80 degrees two-theta:
d 3.671, 24.25°, intensity 19; d 2.578, 34.81°, intensity 100; d 2.119, 42.66°, intensity 48; d 1.835, 49.67°, intensity 3; d 1.810, 50.42°, intensity 10; d 1.637, 56.19°, intensity 25; d 1.623, 56.70°, intensity 4; d 1.376, 68.12°, intensity 23; d 1.296, 73.03°, intensity 22; d 1.224, 78.10°, intensity 8



# 7
Calculated X-ray powder pattern
Compound: Nd2Ga5Ni5
Radiation: λ = 1.5418 Å (Cu Kα)
Structure: the GGA-PBE geometry in Alexandria
No peak broadening, texture or thermal motion is included.

Structural model:
```
data_Nd2Ga5Ni5
_space_group_name_H-M_alt 'P m m m'
_space_group_IT_number 47
_space_group_name_Hall '-P 2 2'
_cell_length_a 4.050
_cell_length_b 5.282
_cell_length_c 8.997
_cell_angle_alpha 90.00
_cell_angle_beta 90.00
_cell_angle_gamma 90.00
loop_
_atom_site_label
_atom_site_type_symbol
_atom_site_fract_x
_atom_site_fract_y
_atom_site_fract_z
Nd1 Nd 0.000 0.000 0.000
Nd2 Nd 0.000 0.500 0.500
Ga1 Ga 0.500 0.000 0.500
Ga2 Ga 0.500 0.251 0.237
Ni1 Ni 0.000 0.000 0.335
Ni2 Ni 0.000 0.500 0.170
Ni3 Ni 0.500 0.500 0.000
```

Largest 10 diffraction maxima, in order of rising 2θ, 10 to 80 degrees two-theta:
d 3.027, 29.51°, intensity 46; d 3.010, 29.68°, intensity 24; d 2.608, 34.39°, intensity 30; d 2.278, 39.57°, intensity 41; d 2.249, 40.09°, intensity 19; d 2.212, 40.79°, intensity 54; d 2.193, 41.17°, intensity 100; d 2.025, 44.75°, intensity 40; d 1.513, 61.24°, intensity 22; d 1.422, 65.67°, intensity 24



# 8
Calculated X-ray powder pattern
Compound: Li2SiSnS4
Radiation: λ = 1.5418 Å (Cu Kα)
Structure: the GGA-PBE geometry in Alexandria
No peak broadening, texture or thermal motion is included.

Structural model:
```
data_Li2SiSnS4
_space_group_name_H-M_alt 'P m n 21'
_space_group_IT_number 31
_space_group_name_Hall 'P 2ac -2'
_cell_length_a 9.083
_cell_length_b 6.418
_cell_length_c 6.009
_cell_angle_alpha 90.00
_cell_angle_beta 90.00
_cell_angle_gamma 90.00
loop_
_atom_site_label
_atom_site_type_symbol
_atom_site_fract_x
_atom_site_fract_y
_atom_site_fract_z
Li1 Li 0.249 0.189 0.000
Si1 Si 0.000 0.329 0.517
Sn1 Sn 0.000 0.720 0.977
S1 S 0.000 0.318 0.878
S2 S 0.000 0.654 0.427
S3 S 0.196 0.182 0.404
```

Largest 10 diffraction maxima, in order of rising 2θ, 10 to 80 degrees two-theta:
d 5.241, 16.92°, intensity 33; d 5.011, 17.70°, intensity 29; d 4.541, 19.55°, intensity 70; d 4.386, 20.25°, intensity 100; d 3.707, 24.01°, intensity 34; d 3.209, 27.80°, intensity 56; d 3.155, 28.29°, intensity 30; d 3.004, 29.74°, intensity 65; d 2.738, 32.71°, intensity 32; d 2.703, 33.14°, intensity 58